The following is a computed powder diffraction line list of Co2SbClF. It was derived from a GGA+U-relaxed structure, using Cu Kα, 1.54184 Å.

The 10 most intense peaks (2θ = 5–70°), by angle:
2θ/deg	I (rel.)
20.94	13
26.86	68
33.64	45
34.30	100
42.62	45
51.10	22
55.36	40
56.13	8
60.58	18
61.85	14

Crystal structure
```
data_Co2SbClF
_chemical_formula_sum 'Co2 Sb1 Cl1 F1'
_space_group_name_H-M_alt 'P 4/m m m'
_space_group_IT_number 123
_space_group_name_Hall '-P 4 2'
_cell_length_a 4.2427
_cell_length_b 4.2427
_cell_length_c 5.3289
_cell_angle_alpha 90.00
_cell_angle_beta 90.00
_cell_angle_gamma 90.00
loop_
_atom_site_label
_atom_site_fract_x
_atom_site_fract_y
_atom_site_fract_z
Co1 0.0000 0.5000 0.0000
Sb1 0.0000 0.0000 0.5000
Cl1 0.5000 0.5000 0.0000
F1 0.5000 0.5000 0.5000
```